# BaCaSnF7
Computed XRD peak list, Cu Ka. Input: the PBE geometry in the Materials Project.
Kinematic intensities with the Lorentz-polarization factor, no thermal factor.

```
BaCaSnF7
1.0
5.915 0.000 0.000
0.000 10.800 0.000
-0.290 0.000 9.948
Ba Ca Sn F
4 4 4 28
direct
0.232 0.180 0.498
0.232 0.320 0.998
0.768 0.680 0.002
0.768 0.820 0.502
0.212 0.585 0.318
0.212 0.915 0.818
0.788 0.085 0.182
0.788 0.415 0.682
0.281 0.608 0.707
0.281 0.892 0.207
0.719 0.108 0.793
0.719 0.392 0.293
0.007 0.241 0.749
0.007 0.259 0.249
0.014 0.504 0.141
0.014 0.996 0.641
0.145 0.051 0.101
0.145 0.449 0.601
0.218 0.707 0.515
0.218 0.793 0.015
0.407 0.084 0.893
0.407 0.416 0.393
0.481 0.730 0.274
0.481 0.770 0.774
0.491 0.507 0.857
0.491 0.993 0.357
0.509 0.007 0.643
0.509 0.493 0.143
0.519 0.230 0.226
0.519 0.270 0.726
0.593 0.584 0.607
0.593 0.916 0.107
0.782 0.207 0.985
0.782 0.293 0.485
0.855 0.551 0.399
0.855 0.949 0.899
0.986 0.004 0.359
0.986 0.496 0.859
0.993 0.741 0.751
0.993 0.759 0.251
```

Peak list (12 most intense, 10° ≤ 2θ ≤ 80°, by intensity)
d = 3.545 Å, 25.1 deg, I 100; d = 3.726 Å, 23.9 deg, I 96; d = 3.637 Å, 24.5 deg, I 76; d = 2.193 Å, 41.2 deg, I 38; d = 2.956 Å, 30.2 deg, I 38; d = 3.075 Å, 29.0 deg, I 36; d = 3.170 Å, 28.2 deg, I 35; d = 2.439 Å, 36.9 deg, I 34; d = 2.377 Å, 37.8 deg, I 33; d = 4.746 Å, 18.7 deg, I 33; d = 3.676 Å, 24.2 deg, I 30; d = 2.597 Å, 34.5 deg, I 29

***

# BeN2F4
Computed XRD peak list, Cu Ka. Input: the PBE geometry in the Materials Project.
Kinematic intensities with the Lorentz-polarization factor, no thermal factor.

```
BeN2F4
1.0
14.682 0.000 0.000
0.000 6.216 0.000
0.000 0.000 11.918
Be N F
8 16 32
direct
0.019 0.165 0.000
0.224 0.823 0.756
0.276 0.323 0.256
0.481 0.665 0.500
0.519 0.335 0.000
0.724 0.677 0.756
0.776 0.177 0.256
0.981 0.835 0.500
0.049 0.094 0.263
0.137 0.752 0.012
0.177 0.661 0.483
0.192 0.315 0.711
0.308 0.815 0.211
0.323 0.161 0.983
0.363 0.252 0.512
0.451 0.594 0.763
0.549 0.406 0.263
0.637 0.748 0.012
0.677 0.839 0.483
0.692 0.185 0.711
0.808 0.685 0.211
0.823 0.339 0.983
0.863 0.248 0.512
0.951 0.906 0.763
0.014 0.896 0.279
0.042 0.002 0.521
0.091 0.583 0.478
0.098 0.287 0.979
0.134 0.761 0.744
0.190 0.419 0.265
0.219 0.711 0.967
0.236 0.941 0.237
0.264 0.441 0.737
0.281 0.211 0.467
0.310 0.919 0.765
0.366 0.261 0.244
0.402 0.787 0.479
0.409 0.083 0.978
0.458 0.502 0.021
0.486 0.396 0.779
0.514 0.604 0.279
0.542 0.498 0.521
0.591 0.917 0.478
0.598 0.213 0.979
0.634 0.739 0.744
0.690 0.081 0.265
0.719 0.789 0.967
0.736 0.559 0.237
0.764 0.059 0.737
0.781 0.289 0.467
0.810 0.581 0.765
0.866 0.239 0.244
0.902 0.713 0.479
0.909 0.417 0.978
0.958 0.998 0.021
0.986 0.104 0.779
```

Peak list (12 most intense, 10° ≤ 2θ ≤ 80°, by intensity)
d = 2.980 Å, 30.0 deg, I 100; d = 3.845 Å, 23.1 deg, I 47; d = 2.783 Å, 32.2 deg, I 36; d = 4.407 Å, 20.1 deg, I 35; d = 2.708 Å, 33.1 deg, I 34; d = 2.323 Å, 38.8 deg, I 24; d = 4.627 Å, 19.2 deg, I 18; d = 2.792 Å, 32.1 deg, I 16; d = 2.473 Å, 36.3 deg, I 16; d = 2.355 Å, 38.2 deg, I 15; d = 2.760 Å, 32.4 deg, I 15; d = 5.724 Å, 15.5 deg, I 14

***

# K2ScHgF6
Computed XRD peak list, Cu Ka. Input: the PBE geometry in the Materials Project.
Kinematic intensities with the Lorentz-polarization factor, no thermal factor.

```
K2ScHgF6
1.0
0.000 4.586 4.586
4.586 0.000 4.586
4.586 4.586 0.000
K Sc Hg F
2 1 1 6
direct
0.250 0.250 0.250
0.750 0.750 0.750
0.000 0.000 0.000
0.500 0.500 0.500
0.221 0.221 0.779
0.221 0.779 0.221
0.221 0.779 0.779
0.779 0.221 0.221
0.779 0.221 0.779
0.779 0.779 0.221
```

Peak list (12 most intense, 10° ≤ 2θ ≤ 80°, by intensity)
d = 3.242 Å, 27.5 deg, I 100; d = 4.586 Å, 19.4 deg, I 57; d = 2.293 Å, 39.3 deg, I 42; d = 5.295 Å, 16.7 deg, I 40; d = 2.765 Å, 32.4 deg, I 40; d = 1.872 Å, 48.6 deg, I 39; d = 2.051 Å, 44.2 deg, I 26; d = 2.104 Å, 43.0 deg, I 25; d = 1.621 Å, 56.8 deg, I 25; d = 1.226 Å, 78.0 deg, I 22; d = 1.450 Å, 64.2 deg, I 20; d = 1.529 Å, 60.6 deg, I 12

***

# U2CoS5
Computed XRD peak list, Cu Ka. Input: the PBE geometry in the Materials Project.
Kinematic intensities with the Lorentz-polarization factor, no thermal factor.

```
U2CoS5
1.0
7.151 -2.998 0.000
7.151 2.998 0.000
-0.840 0.000 6.870
U Co S
4 2 10
direct
0.105 0.679 0.918
0.321 0.895 0.582
0.679 0.105 0.418
0.895 0.321 0.082
0.000 0.500 0.500
0.500 0.000 0.000
0.090 0.910 0.250
0.143 0.300 0.808
0.289 0.530 0.575
0.300 0.143 0.308
0.470 0.711 0.925
0.530 0.289 0.075
0.700 0.857 0.692
0.711 0.470 0.425
0.857 0.700 0.192
0.910 0.090 0.750
```

Peak list (12 most intense, 10° ≤ 2θ ≤ 80°, by intensity)
d = 3.406 Å, 26.2 deg, I 100; d = 4.209 Å, 21.1 deg, I 85; d = 2.152 Å, 42.0 deg, I 33; d = 2.322 Å, 38.8 deg, I 32; d = 2.998 Å, 29.8 deg, I 29; d = 3.549 Å, 25.1 deg, I 25; d = 3.145 Å, 28.4 deg, I 25; d = 1.799 Å, 50.7 deg, I 25; d = 3.251 Å, 27.4 deg, I 23; d = 2.069 Å, 43.7 deg, I 21; d = 2.290 Å, 39.3 deg, I 20; d = 2.105 Å, 43.0 deg, I 19

***

# TbTlS2
Computed XRD peak list, Cu Ka. Input: the PBE geometry in the Materials Project.
Kinematic intensities with the Lorentz-polarization factor, no thermal factor.

```
TbTlS2
1.0
4.056 0.000 0.000
-2.028 3.512 0.000
0.000 0.000 22.599
Tb Tl S
3 3 6
direct
0.000 0.000 0.000
0.333 0.667 0.667
0.667 0.333 0.333
0.000 0.000 0.500
0.333 0.667 0.167
0.667 0.333 0.833
0.000 0.000 0.267
0.000 0.000 0.733
0.333 0.667 0.399
0.333 0.667 0.934
0.667 0.333 0.066
0.667 0.333 0.601
```

Peak list (12 most intense, 10° ≤ 2θ ≤ 80°, by intensity)
d = 2.983 Å, 30.0 deg, I 100; d = 3.354 Å, 26.6 deg, I 64; d = 2.201 Å, 41.0 deg, I 39; d = 2.028 Å, 44.7 deg, I 34; d = 3.766 Å, 23.6 deg, I 31; d = 1.786 Å, 51.2 deg, I 25; d = 1.677 Å, 54.7 deg, I 18; d = 1.900 Å, 47.9 deg, I 17; d = 1.380 Å, 67.9 deg, I 16; d = 1.292 Å, 73.2 deg, I 15; d = 1.491 Å, 62.2 deg, I 11; d = 1.201 Å, 79.8 deg, I 11

***

# LaO
Computed XRD peak list, Cu Ka. Input: the PBE geometry in the Materials Project.
Kinematic intensities with the Lorentz-polarization factor, no thermal factor.

```
LaO
1.0
5.157 0.000 0.000
0.000 5.157 0.000
0.000 0.000 5.157
La O
4 4
direct
0.000 0.000 0.000
0.000 0.500 0.500
0.500 0.000 0.500
0.500 0.500 0.000
0.000 0.000 0.500
0.000 0.500 0.000
0.500 0.000 0.000
0.500 0.500 0.500
```

Peak list (6 most intense, 10° ≤ 2θ ≤ 80°, by intensity)
d = 2.978 Å, 30.0 deg, I 100; d = 2.579 Å, 34.8 deg, I 84; d = 1.823 Å, 50.0 deg, I 58; d = 1.555 Å, 59.4 deg, I 46; d = 1.489 Å, 62.4 deg, I 19; d = 1.289 Å, 73.4 deg, I 9

***

# PuIO
Computed XRD peak list, Cu Ka. Input: the PBE geometry in the Materials Project.
Kinematic intensities with the Lorentz-polarization factor, no thermal factor.

```
PuIO
1.0
4.011 0.000 0.000
0.000 4.011 0.000
0.000 0.000 9.468
Pu I O
2 2 2
direct
0.250 0.250 0.123
0.750 0.750 0.877
0.250 0.250 0.677
0.750 0.750 0.323
0.250 0.750 0.000
0.750 0.250 0.000
```

Peak list (12 most intense, 10° ≤ 2θ ≤ 80°, by intensity)
d = 3.060 Å, 29.2 deg, I 100; d = 2.836 Å, 31.5 deg, I 43; d = 1.677 Å, 54.7 deg, I 35; d = 2.480 Å, 36.2 deg, I 20; d = 2.005 Å, 45.2 deg, I 19; d = 1.817 Å, 50.2 deg, I 16; d = 1.575 Å, 58.6 deg, I 10; d = 1.559 Å, 59.3 deg, I 10; d = 1.268 Å, 74.9 deg, I 8; d = 1.530 Å, 60.5 deg, I 8; d = 1.287 Å, 73.6 deg, I 7; d = 2.367 Å, 38.0 deg, I 7

***

# La2CoSn4
Computed XRD peak list, Cu Ka. Input: the PBE geometry in the Materials Project.
Kinematic intensities with the Lorentz-polarization factor, no thermal factor.

```
La2CoSn4
1.0
4.651 0.000 0.000
0.000 17.130 0.000
-0.005 0.000 4.610
La Co Sn
4 2 8
direct
0.000 0.000 0.000
0.000 0.205 0.500
0.500 0.500 0.000
0.500 0.705 0.500
0.000 0.406 0.500
0.500 0.906 0.500
0.000 0.346 0.000
0.000 0.552 0.500
0.000 0.666 0.000
0.000 0.845 0.500
0.500 0.052 0.500
0.500 0.166 0.000
0.500 0.345 0.500
0.500 0.846 0.000
```

Peak list (12 most intense, 10° ≤ 2θ ≤ 80°, by intensity)
d = 2.840 Å, 31.5 deg, I 100; d = 2.325 Å, 38.7 deg, I 21; d = 2.305 Å, 39.1 deg, I 21; d = 2.855 Å, 31.3 deg, I 16; d = 1.637 Å, 56.2 deg, I 14; d = 1.414 Å, 66.1 deg, I 13; d = 2.427 Å, 37.0 deg, I 13; d = 1.423 Å, 65.6 deg, I 13; d = 1.803 Å, 50.6 deg, I 9; d = 1.646 Å, 55.9 deg, I 9; d = 1.679 Å, 54.7 deg, I 9; d = 1.794 Å, 50.9 deg, I 9

***

Repeat the second record exactly.
# BeN2F4
Computed XRD peak list, Cu Ka. Input: the PBE geometry in the Materials Project.
Kinematic intensities with the Lorentz-polarization factor, no thermal factor.

```
BeN2F4
1.0
14.682 0.000 0.000
0.000 6.216 0.000
0.000 0.000 11.918
Be N F
8 16 32
direct
0.019 0.165 0.000
0.224 0.823 0.756
0.276 0.323 0.256
0.481 0.665 0.500
0.519 0.335 0.000
0.724 0.677 0.756
0.776 0.177 0.256
0.981 0.835 0.500
0.049 0.094 0.263
0.137 0.752 0.012
0.177 0.661 0.483
0.192 0.315 0.711
0.308 0.815 0.211
0.323 0.161 0.983
0.363 0.252 0.512
0.451 0.594 0.763
0.549 0.406 0.263
0.637 0.748 0.012
0.677 0.839 0.483
0.692 0.185 0.711
0.808 0.685 0.211
0.823 0.339 0.983
0.863 0.248 0.512
0.951 0.906 0.763
0.014 0.896 0.279
0.042 0.002 0.521
0.091 0.583 0.478
0.098 0.287 0.979
0.134 0.761 0.744
0.190 0.419 0.265
0.219 0.711 0.967
0.236 0.941 0.237
0.264 0.441 0.737
0.281 0.211 0.467
0.310 0.919 0.765
0.366 0.261 0.244
0.402 0.787 0.479
0.409 0.083 0.978
0.458 0.502 0.021
0.486 0.396 0.779
0.514 0.604 0.279
0.542 0.498 0.521
0.591 0.917 0.478
0.598 0.213 0.979
0.634 0.739 0.744
0.690 0.081 0.265
0.719 0.789 0.967
0.736 0.559 0.237
0.764 0.059 0.737
0.781 0.289 0.467
0.810 0.581 0.765
0.866 0.239 0.244
0.902 0.713 0.479
0.909 0.417 0.978
0.958 0.998 0.021
0.986 0.104 0.779
```

Peak list (12 most intense, 10° ≤ 2θ ≤ 80°, by intensity)
d = 2.980 Å, 30.0 deg, I 100; d = 3.845 Å, 23.1 deg, I 47; d = 2.783 Å, 32.2 deg, I 36; d = 4.407 Å, 20.1 deg, I 35; d = 2.708 Å, 33.1 deg, I 34; d = 2.323 Å, 38.8 deg, I 24; d = 4.627 Å, 19.2 deg, I 18; d = 2.792 Å, 32.1 deg, I 16; d = 2.473 Å, 36.3 deg, I 16; d = 2.355 Å, 38.2 deg, I 15; d = 2.760 Å, 32.4 deg, I 15; d = 5.724 Å, 15.5 deg, I 14